(1)
Starting from DFT lattice parameters and positions (PBE), the X-ray diffraction stick pattern of Sc2In3 was calculated for Cu Kα.
Peak positions follow from Bragg's law for the DFT cell and can differ from measured ones.

a = 7.177 Å, b = 7.177 Å, c = 4.442 Å
α = 90.00°, β = 90.00°, γ = 90.00°
Fractional positions:
1 Sc 0.123 0.697 0.000
2 Sc 0.303 0.123 0.000
3 Sc 0.697 0.877 0.000
4 Sc 0.877 0.303 0.000
5 In 0.000 0.000 0.500
6 In 0.184 0.396 0.500
7 In 0.396 0.816 0.500
8 In 0.500 0.500 0.000
9 In 0.604 0.184 0.500
10 In 0.816 0.604 0.500

Peak list (12 most intense, 10 to 80 degrees two-theta, by angle)
- 2θ = 19.99°, 4.442 Å, intensity 10
- 2θ = 27.79°, 3.210 Å, intensity 10
- 2θ = 34.47°, 2.602 Å, intensity 100
- 2θ = 39.71°, 2.270 Å, intensity 34
- 2θ = 40.62°, 2.221 Å, intensity 16
- 2θ = 44.84°, 2.021 Å, intensity 5
- 2θ = 49.93°, 1.827 Å, intensity 4
- 2θ = 57.42°, 1.605 Å, intensity 10
- 2θ = 58.11°, 1.588 Å, intensity 21
- 2θ = 68.72°, 1.366 Å, intensity 23
- 2θ = 69.97°, 1.345 Å, intensity 12
- 2θ = 72.68°, 1.301 Å, intensity 10

(2)
Starting from DFT lattice parameters and positions (PBE), the X-ray diffraction stick pattern of UIn2BiO8 was calculated for Cu Kα.
Peak positions follow from Bragg's law for the DFT cell and can differ from measured ones.

a = 5.005 Å, b = 5.005 Å, c = 6.921 Å
α = 90.00°, β = 90.00°, γ = 91.32°
Fractional positions:
1 U 0.000 0.000 0.000
2 In 0.500 0.500 0.248
3 In 0.500 0.500 0.752
4 Bi 0.000 0.000 0.500
5 O 0.192 0.808 0.231
6 O 0.192 0.808 0.769
7 O 0.299 0.299 0.000
8 O 0.314 0.314 0.500
9 O 0.686 0.686 0.500
10 O 0.701 0.701 0.000
11 O 0.808 0.192 0.231
12 O 0.808 0.192 0.769

Peak list (12 most intense, 10 to 80 degrees two-theta, by angle)
- 2θ = 17.72°, 5.004 Å, intensity 19
- 2θ = 24.87°, 3.580 Å, intensity 55
- 2θ = 25.46°, 3.498 Å, intensity 52
- 2θ = 31.43°, 2.846 Å, intensity 100
- 2θ = 35.89°, 2.502 Å, intensity 30
- 2θ = 48.10°, 1.892 Å, intensity 39
- 2θ = 48.77°, 1.867 Å, intensity 38
- 2θ = 57.87°, 1.594 Å, intensity 9
- 2θ = 59.32°, 1.558 Å, intensity 10
- 2θ = 59.61°, 1.551 Å, intensity 10
- 2θ = 61.74°, 1.503 Å, intensity 22
- 2θ = 65.60°, 1.423 Å, intensity 11

Copy entry 2 word for word.
Starting from DFT lattice parameters and positions (PBE), the X-ray diffraction stick pattern of UIn2BiO8 was calculated for Cu Kα.
Peak positions follow from Bragg's law for the DFT cell and can differ from measured ones.

a = 5.005 Å, b = 5.005 Å, c = 6.921 Å
α = 90.00°, β = 90.00°, γ = 91.32°
Fractional positions:
1 U 0.000 0.000 0.000
2 In 0.500 0.500 0.248
3 In 0.500 0.500 0.752
4 Bi 0.000 0.000 0.500
5 O 0.192 0.808 0.231
6 O 0.192 0.808 0.769
7 O 0.299 0.299 0.000
8 O 0.314 0.314 0.500
9 O 0.686 0.686 0.500
10 O 0.701 0.701 0.000
11 O 0.808 0.192 0.231
12 O 0.808 0.192 0.769

Peak list (12 most intense, 10 to 80 degrees two-theta, by angle)
- 2θ = 17.72°, 5.004 Å, intensity 19
- 2θ = 24.87°, 3.580 Å, intensity 55
- 2θ = 25.46°, 3.498 Å, intensity 52
- 2θ = 31.43°, 2.846 Å, intensity 100
- 2θ = 35.89°, 2.502 Å, intensity 30
- 2θ = 48.10°, 1.892 Å, intensity 39
- 2θ = 48.77°, 1.867 Å, intensity 38
- 2θ = 57.87°, 1.594 Å, intensity 9
- 2θ = 59.32°, 1.558 Å, intensity 10
- 2θ = 59.61°, 1.551 Å, intensity 10
- 2θ = 61.74°, 1.503 Å, intensity 22
- 2θ = 65.60°, 1.423 Å, intensity 11